Starting from a DFT-relaxed cell (PBE+U, Alexandria), the powder X-ray diffraction pattern of TiPbWO6 was simulated for copper Kα.
No peak broadening, texture or thermal motion is included.

Main lines, by angle (10° ≤ 2θ ≤ 90°):
21.19 deg, d = 4.193 Å, rel. 20; 25.58 deg, d = 3.483 Å, rel. 100; 34.15 deg, d = 2.625 Å, rel. 34; 43.15 deg, d = 2.096 Å, rel. 23; 48.28 deg, d = 1.885 Å, rel. 38; 54.70 deg, d = 1.678 Å, rel. 11; 56.14 deg, d = 1.638 Å, rel. 23; 61.14 deg, d = 1.516 Å, rel. 10

Cell and atoms:
abc: 5.2508 5.2508 10.8336
angles: 90.00 90.00 120.00
Element x y z (fractional)
Ti 0.3333 0.6667 0.2500
Ti 0.6667 0.3333 0.7500
Pb 0.0000 0.0000 0.0000
Pb 0.0000 0.0000 0.5000
W 0.3333 0.6667 0.7500
W 0.6667 0.3333 0.2500
O 0.0036 0.3846 0.6492
O 0.0036 0.6190 0.8508
O 0.3810 0.3846 0.8508
O 0.3810 0.9964 0.6492
O 0.3846 0.0036 0.1492
O 0.3846 0.3810 0.3508
O 0.6154 0.6190 0.6492
O 0.6154 0.9964 0.8508
O 0.6190 0.0036 0.3508
O 0.6190 0.6154 0.1492
O 0.9964 0.3810 0.1492
O 0.9964 0.6154 0.3508